Simulated PXRD pattern of LiPm2Zn for Cu Kα, from a cell relaxed with GGA-PBE.

Atomic structure:
```
data_LiPm2Zn
_symmetry_space_group_name_H-M 'F m -3 m'
_symmetry_Int_Tables_number 225
_symmetry_space_group_name_Hall '-F 4 2 3'
_cell_length_a 7.403
_cell_length_b 7.403
_cell_length_c 7.403
_cell_angle_alpha 90.00
_cell_angle_beta 90.00
_cell_angle_gamma 90.00
loop_
_atom_site_label
_atom_site_type_symbol
_atom_site_fract_x
_atom_site_fract_y
_atom_site_fract_z
Li1 Li 0.000 0.000 0.000
Pm1 Pm 0.250 0.250 0.250
Zn1 Zn 0.000 0.000 0.500
```

Most intense lines, 2θ = 15–90°, in order of rising 2θ:
(hkl)	two_theta	I (rel.)
2 0 0	24.04	42
2 2 0	34.26	100
4 0 0	49.23	18
4 2 0	55.51	18
4 2 2	61.35	37
6 2 0	82.39	16